Simulated powder XRD pattern of SnPb4N4 for Cu Kα X-rays, from a structure optimized by DFT (PBE).

Crystal structure
Unit cell a=6.5318 b=7.3106 c=8.6119 alpha=81.59 beta=78.70 gamma=67.98
Element x y z (fractional)
Sn: 0.0577 0.1832 0.2793
Sn: 0.9423 0.8168 0.7207
Pb: 0.1220 0.6601 0.3345
Pb: 0.2718 0.9655 0.8894
Pb: 0.2961 0.4268 0.9073
Pb: 0.4898 0.7721 0.4950
Pb: 0.5102 0.2279 0.5050
Pb: 0.7039 0.5732 0.0927
Pb: 0.7282 0.0345 0.1106
Pb: 0.8780 0.3399 0.6655
N: 0.0569 0.4677 0.1689
N: 0.1063 0.9310 0.1555
N: 0.2215 0.1125 0.4775
N: 0.2902 0.7171 0.7427
N: 0.7098 0.2828 0.2573
N: 0.7785 0.8875 0.5225
N: 0.8937 0.0690 0.8445
N: 0.9431 0.5323 0.8311

Largest 6 diffraction maxima, in order of falling intensity, 2θ = 15–90°:
Position (°2θ)	Rel. int.
30.10	100.0
27.73	70.8
29.27	55.5
32.11	42.7
33.11	32.2
36.56	30.4